Structure and theoretical XRD peak list of SmBe3Cu10 (the GGA-PBE geometry in Alexandria; Cu Ka).
Neutral-atom scattering factors, no anomalous dispersion.

Peak list (6 most intense, 10 to 90 degrees two-theta, sorted by position)
2θ/deg  I/Imax
35.5  97
39.0  48
41.5  100
45.4  29
47.6  42
70.7  40

Structural model:
```
SmBe3Cu10
1.0
0.000 5.656 5.656
5.656 0.000 5.656
5.656 5.656 0.000
Sm Be Cu
2 6 20
Cartesian
2.828 2.828 2.828 Sm
8.484 8.484 8.484 Sm
5.656 5.656 2.683 Be
5.656 2.683 5.656 Be
8.629 5.656 5.656 Be
2.683 5.656 5.656 Be
5.656 8.629 5.656 Be
5.656 5.656 8.629 Be
1.245 1.245 1.245 Cu
4.411 4.411 1.245 Cu
4.411 1.245 4.411 Cu
5.656 3.710 3.710 Cu
7.602 5.656 3.710 Cu
7.602 3.710 5.656 Cu
10.067 6.901 6.901 Cu
3.710 5.656 3.710 Cu
5.656 7.602 3.710 Cu
3.710 3.710 5.656 Cu
7.602 7.602 5.656 Cu
5.656 3.710 7.602 Cu
7.602 5.656 7.602 Cu
1.245 4.411 4.411 Cu
3.710 7.602 5.656 Cu
3.710 5.656 7.602 Cu
5.656 7.602 7.602 Cu
6.901 10.067 6.901 Cu
6.901 6.901 10.067 Cu
10.067 10.067 10.067 Cu
```